1.
This entry pairs a crystal structure of Zr3Ti2Pb5O15 with its computed powder XRD pattern. Radiation: Cu Kα (λ = 1.5418 Å). Structure: a DFT-relaxed cell (PBE, Alexandria).
No peak broadening, texture or thermal motion is included.

Crystal structure
a b c (Å): 28.680 5.728 4.431
angles (deg): 90.00 90.11 90.00
Space group Cm (No. 8)
One atom of each set of equivalent atoms:
Zr (0.000, 0.000, 0.000) x2
Zr (0.104, 0.500, 0.003) x2
Zr (0.396, 0.000, 0.003) x2
Ti (0.203, 0.000, 0.000) x2
Ti (0.297, 0.500, 0.000) x2
Pb (0.001, 0.500, 0.433) x2
Pb (0.104, 0.000, 0.437) x2
Pb (0.203, 0.500, 0.446) x2
Pb (0.297, 0.000, 0.446) x2
Pb (0.397, 0.500, 0.437) x2
O (0.000, 0.000, 0.553) x2
O (0.051, 0.253, 0.092) x4
O (0.104, 0.500, 0.555) x2
O (0.154, 0.237, 0.094) x4
O (0.203, 0.000, 0.604) x2
O (0.250, 0.250, 0.099) x4
O (0.296, 0.500, 0.604) x2
O (0.345, 0.263, 0.094) x4
O (0.395, 0.000, 0.555) x2
O (0.448, 0.248, 0.092) x4

Peak list (10 most intense, 2θ from 10° to 90°, in order of falling intensity)
- 2.991 Å, rel. 100, (5 1 1)
- 2.866 Å, rel. 44, (0 2 0)
- 1.678 Å, rel. 27, (5 3 -1)
- 2.027 Å, rel. 25, (10 2 0)
- 2.406 Å, rel. 22, (0 2 1)
- 4.053 Å, rel. 18, (5 1 0)
- 1.753 Å, rel. 17, (0 2 2)
- 4.431 Å, rel. 16, (0 0 1)
- 1.495 Å, rel. 12, (10 2 2)
- 1.944 Å, rel. 12, (5 1 -2)


2.
This entry pairs a crystal structure of Zr4TiPb5O15 with its computed powder XRD pattern. Radiation: Cu Kα (λ = 1.5418 Å). Structure: a DFT-relaxed cell (PBE, Alexandria).
No peak broadening, texture or thermal motion is included.

Crystal structure
a b c (Å): 6.057 5.933 20.768
angles (deg): 90.00 90.93 90.00
Space group Cm (No. 8)
One atom of each set of equivalent atoms:
Zr (0.000, 0.000, 0.000) x2
Zr (0.000, 0.000, 0.408) x2
Zr (0.001, 0.000, 0.204) x2
Zr (0.498, 0.500, 0.796) x2
Ti (0.025, 0.000, 0.602) x2
Pb (0.052, 0.500, 0.686) x2
Pb (0.056, 0.500, 0.501) x2
Pb (0.056, 0.500, 0.888) x2
Pb (0.058, 0.500, 0.092) x2
Pb (0.058, 0.500, 0.296) x2
O (0.209, 0.246, 0.607) x4
O (0.216, 0.263, 0.804) x4
O (0.217, 0.263, 0.007) x4
O (0.218, 0.263, 0.212) x4
O (0.219, 0.262, 0.415) x4
O (0.450, 0.500, 0.697) x2
O (0.454, 0.500, 0.513) x2
O (0.455, 0.500, 0.901) x2
O (0.456, 0.500, 0.105) x2
O (0.457, 0.500, 0.309) x2

Peak list (10 most intense, 2θ from 10° to 90°, in order of falling intensity)
- 2.949 Å, rel. 100, (1 1 5)
- 2.983 Å, rel. 98, (1 1 -5)
- 2.966 Å, rel. 52, (0 2 0)
- 3.028 Å, rel. 51, (2 0 0)
- 2.119 Å, rel. 51, (2 2 0)
- 4.238 Å, rel. 45, (1 1 0)
- 1.726 Å, rel. 29, (3 1 5)
- 1.701 Å, rel. 28, (0 2 10)
- 2.077 Å, rel. 23, (0 0 10)
- 2.414 Å, rel. 22, (0 2 5)


3.
This entry pairs a crystal structure of ZrTi2Pb3O9 with its computed powder XRD pattern. Radiation: Cu Kα (λ = 1.5418 Å). Structure: a DFT-relaxed cell (PBE, Alexandria).
No peak broadening, texture or thermal motion is included.

Crystal structure
a b c (Å): 10.770 5.590 7.221
angles (deg): 90.00 98.06 90.00
Space group Cm (No. 8)
One atom of each set of equivalent atoms:
Zr (0.000, 0.000, 0.000) x2
Ti (0.174, 0.500, 0.334) x2
Ti (0.327, 0.000, 0.670) x2
Pb (0.024, 0.000, 0.490) x2
Pb (0.182, 0.500, 0.806) x2
Pb (0.356, 0.000, 0.156) x2
O (0.053, 0.261, 0.208) x4
O (0.134, 0.000, 0.846) x2
O (0.216, 0.253, 0.530) x4
O (0.301, 0.500, 0.205) x2
O (0.375, 0.243, 0.866) x4
O (0.457, 0.000, 0.547) x2

Peak list (10 most intense, 2θ from 10° to 90°, in order of falling intensity)
- 2.996 Å, rel. 100, (3 1 0)
- 2.794 Å, rel. 40, (0 2 0)
- 1.650 Å, rel. 26, (3 3 0)
- 1.976 Å, rel. 23, (2 2 2)
- 3.952 Å, rel. 22, (1 1 1)
- 4.594 Å, rel. 21, (2 0 -1)
- 2.389 Å, rel. 19, (2 2 -1)
- 1.776 Å, rel. 17, (4 2 -2)
- 2.297 Å, rel. 12, (4 0 -2)
- 1.647 Å, rel. 8, (1 1 4)


4.
This entry pairs a crystal structure of Zr3Ti2Pb5O15 with its computed powder XRD pattern. Radiation: Cu Kα (λ = 1.5418 Å). Structure: a DFT-relaxed cell (PBE, Alexandria).
No peak broadening, texture or thermal motion is included.

Crystal structure
a b c (Å): 17.397 5.855 7.308
angles (deg): 90.00 104.97 90.00
Space group Cm (No. 8)
One atom of each set of equivalent atoms:
Zr (0.000, 0.000, 0.000) x2
Zr (0.099, 0.500, 0.397) x2
Zr (0.398, 0.000, 0.601) x2
Ti (0.195, 0.000, 0.786) x2
Ti (0.296, 0.500, 0.189) x2
Pb (0.105, 0.500, 0.862) x2
Pb (0.204, 0.000, 0.248) x2
Pb (0.299, 0.500, 0.647) x2
Pb (0.387, 0.000, 0.052) x2
Pb (0.486, 0.500, 0.448) x2
O (0.009, 0.500, 0.549) x2
O (0.047, 0.239, 0.231) x4
O (0.109, 0.000, 0.931) x2
O (0.154, 0.252, 0.640) x4
O (0.207, 0.500, 0.328) x2
O (0.252, 0.250, 0.035) x4
O (0.298, 0.000, 0.739) x2
O (0.349, 0.264, 0.422) x4
O (0.399, 0.500, 0.138) x2
O (0.444, 0.241, 0.830) x4

Peak list (10 most intense, 2θ from 10° to 90°, in order of falling intensity)
- 2.947 Å, rel. 100, (3 1 -2)
- 2.915 Å, rel. 97, (5 1 0)
- 2.928 Å, rel. 52, (0 2 0)
- 4.184 Å, rel. 51, (1 1 1)
- 2.990 Å, rel. 51, (2 0 2)
- 2.092 Å, rel. 51, (2 2 2)
- 1.705 Å, rel. 30, (7 1 2)
- 1.681 Å, rel. 27, (8 2 -2)
- 2.384 Å, rel. 26, (4 2 -1)
- 2.053 Å, rel. 25, (8 0 -2)


5.
This entry pairs a crystal structure of Zr3TiPb4O12 with its computed powder XRD pattern. Radiation: Cu Kα (λ = 1.5418 Å). Structure: a DFT-relaxed cell (PBE, Alexandria).
No peak broadening, texture or thermal motion is included.

Crystal structure
a b c (Å): 5.867 5.908 10.154
angles (deg): 73.30 73.87 60.77
Space group P1 (No. 1)
One atom of each set of equivalent atoms:
Zr (0.000, 0.000, 0.000) x1
Zr (0.250, 0.254, 0.253) x1
Zr (0.742, 0.754, 0.748) x1
Ti (0.486, 0.512, 0.504) x1
Pb (0.073, 0.184, 0.623) x1
Pb (0.339, 0.430, 0.879) x1
Pb (0.593, 0.670, 0.148) x1
Pb (0.834, 0.941, 0.389) x1
O (0.170, 0.580, 0.632) x1
O (0.185, 0.097, 0.106) x1
O (0.194, 0.593, 0.112) x1
O (0.366, 0.848, 0.850) x1
O (0.375, 0.828, 0.372) x1
O (0.399, 0.325, 0.394) x1
O (0.663, 0.060, 0.148) x1
O (0.669, 0.600, 0.598) x1
O (0.680, 0.109, 0.615) x1
O (0.866, 0.342, 0.855) x1
O (0.873, 0.351, 0.362) x1
O (0.888, 0.805, 0.895) x1

Peak list (10 most intense, 2θ from 10° to 90°, in order of falling intensity)
- 2.955 Å, rel. 100, (1 2 1)
- 2.931 Å, rel. 99, (2 1 1)
- 2.978 Å, rel. 51, (1 -1 0)
- 2.944 Å, rel. 51, (1 1 -2)
- 4.188 Å, rel. 43, (1 0 -1)
- 2.400 Å, rel. 32, (2 2 0)
- 2.097 Å, rel. 26, (2 0 -2)
- 2.091 Å, rel. 25, (0 2 -2)
- 2.068 Å, rel. 25, (2 2 4)
- 1.700 Å, rel. 22, (3 2 -1)


6.
This entry pairs a crystal structure of Zr3TiPb4O12 with its computed powder XRD pattern. Radiation: Cu Kα (λ = 1.5418 Å). Structure: a DFT-relaxed cell (PBE, Alexandria).
No peak broadening, texture or thermal motion is included.

Crystal structure
a b c (Å): 4.292 11.697 5.877
angles (deg): 90.00 91.31 90.00
Space group Pm (No. 6)
One atom of each set of equivalent atoms:
Zr (0.000, 0.000, 0.000) x1
Zr (0.002, 0.255, 0.504) x2
Ti (0.020, 0.500, 0.002) x1
Pb (0.557, 0.000, 0.454) x1
Pb (0.560, 0.500, 0.460) x1
Pb (0.565, 0.262, 0.967) x2
O (0.436, 0.500, 0.025) x1
O (0.472, 0.000, 0.041) x1
O (0.473, 0.261, 0.534) x2
O (0.936, 0.383, 0.258) x2
O (0.942, 0.380, 0.782) x2
O (0.943, 0.135, 0.777) x2
O (0.944, 0.121, 0.280) x2

Peak list (10 most intense, 2θ from 10° to 90°, in order of falling intensity)
- 2.957 Å, rel. 100, (1 2 1)
- 3.006 Å, rel. 100, (1 2 -1)
- 2.073 Å, rel. 50, (0 4 2)
- 2.938 Å, rel. 47, (0 0 2)
- 2.924 Å, rel. 47, (0 4 0)
- 4.145 Å, rel. 38, (0 2 1)
- 4.291 Å, rel. 26, (1 0 0)
- 2.146 Å, rel. 24, (2 0 0)
- 2.416 Å, rel. 21, (1 4 0)
- 1.730 Å, rel. 21, (2 4 0)


7.
This entry pairs a crystal structure of ZrTi2Pb3O9 with its computed powder XRD pattern. Radiation: Cu Kα (λ = 1.5418 Å). Structure: a DFT-relaxed cell (PBE, Alexandria).
No peak broadening, texture or thermal motion is included.

Crystal structure
a b c (Å): 3.958 11.781 4.656
angles (deg): 90.00 90.00 90.00
Space group Pmm2 (No. 25)
One atom of each set of equivalent atoms:
Zr (0.000, 0.000, 0.000) x1
Ti (0.000, 0.338, 0.001) x2
Pb (0.500, 0.174, 0.558) x2
Pb (0.500, 0.500, 0.560) x1
O (0.000, 0.000, 0.419) x1
O (0.000, 0.177, 0.893) x2
O (0.000, 0.337, 0.377) x2
O (0.000, 0.500, 0.889) x1
O (0.500, 0.000, 0.876) x1
O (0.500, 0.338, 0.899) x2

Peak list (10 most intense, 2θ from 10° to 90°, in order of falling intensity)
- 3.016 Å, rel. 100, (1 0 1)
- 3.002 Å, rel. 98, (0 3 1)
- 2.788 Å, rel. 78, (1 3 0)
- 2.392 Å, rel. 48, (1 3 1)
- 1.787 Å, rel. 46, (1 3 2)
- 4.656 Å, rel. 42, (0 0 1)
- 1.652 Å, rel. 34, (2 3 1)
- 1.645 Å, rel. 33, (1 6 1)
- 2.005 Å, rel. 30, (1 0 2)
- 1.979 Å, rel. 23, (2 0 0)


8.
This entry pairs a crystal structure of ZrTi4Pb5O15 with its computed powder XRD pattern. Radiation: Cu Kα (λ = 1.5418 Å). Structure: a DFT-relaxed cell (PBE, Alexandria).
No peak broadening, texture or thermal motion is included.

Crystal structure
a b c (Å): 5.519 27.607 4.681
angles (deg): 90.00 90.00 90.00
Space group Cmm2 (No. 35)
One atom of each set of equivalent atoms:
Zr (0.000, 0.000, 0.000) x2
Ti (0.000, 0.201, 0.994) x4
Ti (0.000, 0.397, 0.995) x4
Pb (0.000, 0.102, 0.553) x4
Pb (0.000, 0.300, 0.551) x4
Pb (0.000, 0.500, 0.557) x2
O (0.000, 0.000, 0.420) x2
O (0.000, 0.200, 0.368) x4
O (0.000, 0.397, 0.369) x4
O (0.241, 0.447, 0.888) x8
O (0.249, 0.151, 0.885) x8
O (0.250, 0.250, 0.888) x4

Peak list (10 most intense, 2θ from 10° to 90°, in order of falling intensity)
- 2.998 Å, rel. 100, (1 5 1)
- 2.760 Å, rel. 38, (2 0 0)
- 1.636 Å, rel. 34, (3 5 1)
- 2.378 Å, rel. 27, (2 0 1)
- 3.903 Å, rel. 25, (1 5 0)
- 4.681 Å, rel. 24, (0 0 1)
- 1.785 Å, rel. 23, (2 0 2)
- 1.952 Å, rel. 22, (2 10 0)
- 2.007 Å, rel. 17, (1 5 2)
- 2.341 Å, rel. 11, (0 0 2)


9.
This entry pairs a crystal structure of UTlPbO6 with its computed powder XRD pattern. Radiation: Cu Kα (λ = 1.5418 Å). Structure: a DFT-relaxed cell (PBE, Alexandria).
No peak broadening, texture or thermal motion is included.

Crystal structure
a b c (Å): 5.7198 5.7198 10.0302
angles (deg): 90.00 90.00 120.00
Space group P-31c (No. 163)
One atom of each set of equivalent atoms:
U (0.3333, 0.6667, 0.2500) x2
Tl (0.3333, 0.6667, 0.7500) x2
Pb (0.0000, 0.0000, 0.0000) x2
O (0.0270, 0.3599, 0.1342) x12

Peak list (10 most intense, 2θ from 10° to 90°, in order of falling intensity)
- 3.524 Å, rel. 100, (1 0 2)
- 2.860 Å, rel. 57, (1 1 0)
- 1.885 Å, rel. 47, (1 1 4)
- 2.221 Å, rel. 29, (2 0 2)
- 1.754 Å, rel. 29, (2 1 2)
- 1.651 Å, rel. 17, (3 0 0)
- 2.484 Å, rel. 12, (1 1 2)
- 1.379 Å, rel. 12, (3 0 4)
- 5.015 Å, rel. 12, (0 0 2)
- 1.242 Å, rel. 12, (4 -2 4)